For PuGa4Pt4, a structure optimized by DFT (GGA-PBE) gives the simulated PXRD pattern in this record (λ = 1.5418 Å (Cu Kα)).
Kinematic intensities with the Lorentz-polarization factor, no thermal factor.

The 10 most intense peaks (2θ = 10–90°), in order of rising 2θ:
| (hkl) | d [Å] | Rel. int. |
| --- | --- | --- |
| 1 1 2 | 3.069 | 26 |
| 2 0 1 | 2.838 | 87 |
| 1 0 3 | 2.660 | 59 |
| 2 1 1 | 2.565 | 100 |
| 2 2 0 | 2.118 | 36 |
| 2 0 3 | 2.108 | 65 |
| 1 0 4 | 2.087 | 32 |
| 2 2 2 | 1.912 | 47 |
| 3 0 3 | 1.657 | 24 |
| 4 0 0 | 1.497 | 29 |

Structural model:
abc: 5.9892 5.9892 8.9073
angles: 90.00 90.00 90.00
Element x y z (fractional)
Pu 0.2500 0.7500 0.2500
Pu 0.7500 0.2500 0.7500
Ga 0.0311 0.2500 0.1610
Ga 0.2500 0.0311 0.6610
Ga 0.2500 0.4689 0.6610
Ga 0.4689 0.2500 0.1610
Ga 0.5311 0.7500 0.8390
Ga 0.7500 0.5311 0.3390
Ga 0.7500 0.9689 0.3390
Ga 0.9689 0.7500 0.8390
Pt 0.0183 0.2500 0.4522
Pt 0.2500 0.0183 0.9522
Pt 0.2500 0.4817 0.9522
Pt 0.4817 0.2500 0.4522
Pt 0.5183 0.7500 0.5478
Pt 0.7500 0.5183 0.0478
Pt 0.7500 0.9817 0.0478
Pt 0.9817 0.7500 0.5478